[1]
For La12Co5Ni, DFT lattice parameters and positions (PBE) gives the calculated powder diffractogram in this record (Cu Kα (weighted mean of Kα1 and Kα2)).
Lines closer than 0.1° are merged.

Atomic structure:
a b c (Å): 7.0906 7.0906 13.1466
angles (deg): 95.11 95.11 120.01
Fractional coordinates of all 18 atoms:
La 0.0374 0.3784 0.1142
La 0.1281 0.1281 0.3857
La 0.2042 0.5370 0.6128
La 0.3036 0.3036 0.8857
La 0.3784 0.0374 0.1142
La 0.4630 0.7958 0.3872
La 0.5370 0.2042 0.6128
La 0.6216 0.9626 0.8858
La 0.6964 0.6964 0.1143
La 0.7958 0.4630 0.3872
La 0.8719 0.8719 0.6143
La 0.9626 0.6216 0.8858
Co 0.1662 0.8338 0.5000
Co 0.3334 0.6666 0.0000
Co 0.5000 0.5000 0.5000
Co 0.6666 0.3334 0.0000
Co 0.8338 0.1662 0.5000
Ni 0.0000 0.0000 0.0000

Principal peaks in the range 10 to 80 degrees two-theta, by angle:
| d (Å) | intensity |
| --- | --- |
| 6.468 | 30 |
| 3.227 | 100 |
| 2.987 | 75 |
| 2.617 | 24 |
| 2.184 | 22 |
| 2.047 | 51 |
| 1.770 | 17 |
| 1.729 | 30 |

[2]
For TlCdO, DFT lattice parameters and positions (PBE) gives the calculated powder diffractogram in this record (Cu Kα (weighted mean of Kα1 and Kα2)).
Lines closer than 0.1° are merged.

Atomic structure:
a b c (Å): 4.0955 4.9086 6.1823
angles (deg): 90.00 90.12 90.00
Fractional coordinates of all 6 atoms:
Tl 0.2501 0.2500 0.0188
Tl 0.7499 0.7500 0.9812
Cd 0.2497 0.7500 0.4209
Cd 0.7503 0.2500 0.5791
O 0.2500 0.2500 0.4252
O 0.7500 0.7500 0.5748

Principal peaks in the range 10 to 80 degrees two-theta, by angle:
| d (Å) | intensity |
| --- | --- |
| 6.182 | 12 |
| 3.091 | 29 |
| 2.803 | 100 |
| 2.454 | 24 |
| 2.204 | 13 |
| 2.048 | 14 |
| 1.922 | 15 |
| 1.475 | 17 |

[3]
For RbB4H12, DFT lattice parameters and positions (PBE) gives the calculated powder diffractogram in this record (Cu Kα (weighted mean of Kα1 and Kα2)).
Lines closer than 0.1° are merged.

Atomic structure:
a b c (Å): 5.3829 5.3829 5.3829
angles (deg): 109.47 109.47 109.47
Fractional coordinates of all 17 atoms:
Rb 0.0000 0.0000 0.0000
B 0.0000 0.0000 0.5000
B 0.0000 0.5000 0.0000
B 0.5000 0.0000 0.0000
B 0.5000 0.5000 0.5000
H 0.0000 0.2627 0.7373
H 0.0000 0.7373 0.2627
H 0.2627 0.0000 0.7373
H 0.2627 0.2627 0.5254
H 0.2627 0.5254 0.2627
H 0.2627 0.7373 0.0000
H 0.4746 0.7373 0.7373
H 0.5254 0.2627 0.2627
H 0.7373 0.0000 0.2627
H 0.7373 0.2627 0.0000
H 0.7373 0.4746 0.7373
H 0.7373 0.7373 0.4746

Principal peaks in the range 10 to 80 degrees two-theta, by angle:
| d (Å) | intensity |
| --- | --- |
| 4.395 | 100 |
| 2.538 | 50 |
| 2.198 | 27 |
| 1.966 | 23 |
| 1.661 | 26 |
| 1.465 | 13 |
| 1.269 | 9 |
| 1.219 | 14 |

[4]
For Tl2SiMo, DFT lattice parameters and positions (PBE) gives the calculated powder diffractogram in this record (Cu Kα (weighted mean of Kα1 and Kα2)).
Lines closer than 0.1° are merged.

Atomic structure:
a b c (Å): 3.2930 3.2930 8.2949
angles (deg): 90.00 90.00 90.00
Fractional coordinates of all 4 atoms:
Tl 0.0000 0.0000 0.0000
Tl 0.5000 0.5000 0.3481
Si 0.5000 0.5000 0.7148
Mo 0.0000 0.0000 0.6045

Principal peaks in the range 10 to 80 degrees two-theta, by angle:
| d (Å) | intensity |
| --- | --- |
| 3.061 | 88 |
| 2.765 | 35 |
| 2.579 | 100 |
| 2.329 | 60 |
| 1.781 | 39 |
| 1.647 | 21 |
| 1.450 | 20 |
| 1.388 | 29 |

[5]
For Nd5Sn2, DFT lattice parameters and positions (PBE) gives the calculated powder diffractogram in this record (Cu Kα (weighted mean of Kα1 and Kα2)).
Lines closer than 0.1° are merged.

Atomic structure:
a b c (Å): 20.6719 20.6719 4.6704
angles (deg): 90.00 90.00 166.85
Fractional coordinates of all 14 atoms:
Nd 0.0344 0.9656 0.7500
Nd 0.1746 0.8254 0.2500
Nd 0.2495 0.7505 0.7500
Nd 0.3884 0.6116 0.2500
Nd 0.4605 0.5395 0.7500
Nd 0.5395 0.4605 0.2500
Nd 0.6116 0.3884 0.7500
Nd 0.7505 0.2495 0.2500
Nd 0.8254 0.1746 0.7500
Nd 0.9656 0.0344 0.2500
Sn 0.0962 0.9038 0.2500
Sn 0.3093 0.6907 0.2500
Sn 0.6907 0.3093 0.7500
Sn 0.9038 0.0962 0.7500

Principal peaks in the range 10 to 80 degrees two-theta, by angle:
| d (Å) | intensity |
| --- | --- |
| 3.082 | 100 |
| 2.934 | 42 |
| 2.687 | 82 |
| 2.367 | 35 |
| 2.335 | 29 |
| 1.842 | 21 |
| 1.827 | 22 |
| 1.662 | 24 |

[6]
For Zr3PaHg2, DFT lattice parameters and positions (PBE) gives the calculated powder diffractogram in this record (Cu Kα (weighted mean of Kα1 and Kα2)).
Lines closer than 0.1° are merged.

Atomic structure:
a b c (Å): 3.5747 3.5747 10.5028
angles (deg): 90.00 90.00 90.00
Fractional coordinates of all 6 atoms:
Zr 0.0000 0.0000 0.0000
Zr 0.0000 0.0000 0.3371
Zr 0.0000 0.0000 0.6629
Pa 0.5000 0.5000 0.5000
Hg 0.5000 0.5000 0.1697
Hg 0.5000 0.5000 0.8303

Principal peaks in the range 10 to 80 degrees two-theta, by angle:
| d (Å) | intensity |
| --- | --- |
| 3.575 | 18 |
| 2.528 | 52 |
| 2.501 | 100 |
| 2.049 | 9 |
| 1.787 | 18 |
| 1.454 | 37 |
| 1.439 | 18 |
| 1.251 | 11 |

[7]
For La5Cd2Bi, DFT lattice parameters and positions (PBE) gives the calculated powder diffractogram in this record (Cu Kα (weighted mean of Kα1 and Kα2)).
Lines closer than 0.1° are merged.

Atomic structure:
a b c (Å): 9.1598 9.1598 9.1598
angles (deg): 121.82 121.82 86.87
Fractional coordinates of all 16 atoms:
La 0.0000 0.0000 0.0000
La 0.0075 0.5075 0.8208
La 0.1867 0.0075 0.5000
La 0.3133 0.8133 0.8208
La 0.4925 0.3133 0.5000
La 0.5000 0.5000 0.0000
La 0.5075 0.6867 0.5000
La 0.6867 0.1867 0.1792
La 0.8133 0.9925 0.5000
La 0.9925 0.4925 0.1792
Cd 0.1329 0.3671 0.5000
Cd 0.3671 0.8671 0.2341
Cd 0.6329 0.1329 0.7659
Cd 0.8671 0.6329 0.5000
Bi 0.2500 0.2500 0.0000
Bi 0.7500 0.7500 0.0000

Principal peaks in the range 10 to 80 degrees two-theta, by angle:
| d (Å) | intensity |
| --- | --- |
| 3.149 | 18 |
| 2.963 | 100 |
| 2.941 | 19 |
| 2.816 | 76 |
| 2.665 | 29 |
| 1.991 | 13 |
| 1.942 | 13 |
| 1.550 | 18 |

[8]
For LiAc2Tl4, DFT lattice parameters and positions (PBE) gives the calculated powder diffractogram in this record (Cu Kα (weighted mean of Kα1 and Kα2)).
Lines closer than 0.1° are merged.

Atomic structure:
a b c (Å): 5.0657 5.0657 17.2013
angles (deg): 90.00 90.00 90.00
Fractional coordinates of all 14 atoms:
Li 0.0000 0.0000 0.0000
Li 0.5000 0.5000 0.5000
Ac 0.0000 0.0000 0.3536
Ac 0.0000 0.0000 0.6464
Ac 0.5000 0.5000 0.1464
Ac 0.5000 0.5000 0.8536
Tl 0.0000 0.0000 0.1584
Tl 0.0000 0.0000 0.8416
Tl 0.0000 0.5000 0.0000
Tl 0.0000 0.5000 0.5000
Tl 0.5000 0.0000 0.0000
Tl 0.5000 0.0000 0.5000
Tl 0.5000 0.5000 0.3416
Tl 0.5000 0.5000 0.6584

Principal peaks in the range 10 to 80 degrees two-theta, by angle:
| d (Å) | intensity |
| --- | --- |
| 3.307 | 68 |
| 2.867 | 31 |
| 2.752 | 100 |
| 2.533 | 57 |
| 1.898 | 39 |
| 1.791 | 22 |
| 1.551 | 23 |
| 1.501 | 33 |

[9]
For NdTcIO4, DFT lattice parameters and positions (PBE) gives the calculated powder diffractogram in this record (Cu Kα (weighted mean of Kα1 and Kα2)).
Lines closer than 0.1° are merged.

Atomic structure:
a b c (Å): 6.7731 6.7731 7.0389
angles (deg): 101.05 101.05 64.86
Fractional coordinates of all 14 atoms:
Nd 0.2499 0.2499 0.1257
Nd 0.7501 0.7501 0.8743
Tc 0.3709 0.3709 0.7276
Tc 0.6291 0.6291 0.2724
I 0.0111 0.0111 0.7487
I 0.9889 0.9889 0.2513
O 0.1282 0.4886 0.8628
O 0.2987 0.2987 0.4779
O 0.4711 0.4711 0.2121
O 0.4886 0.1282 0.8628
O 0.5114 0.8718 0.1372
O 0.5289 0.5289 0.7879
O 0.7013 0.7013 0.5221
O 0.8718 0.5114 0.1372

Principal peaks in the range 10 to 80 degrees two-theta, by angle:
| d (Å) | intensity |
| --- | --- |
| 6.855 | 28 |
| 3.909 | 31 |
| 3.632 | 100 |
| 3.427 | 30 |
| 3.305 | 48 |
| 3.245 | 41 |
| 2.839 | 27 |
| 2.663 | 65 |

[10]
For Co2AuBr8, DFT lattice parameters and positions (PBE) gives the calculated powder diffractogram in this record (Cu Kα (weighted mean of Kα1 and Kα2)).
Lines closer than 0.1° are merged.

Atomic structure:
a b c (Å): 7.2122 7.2122 9.6209
angles (deg): 110.78 110.78 68.58
Fractional coordinates of all 11 atoms:
Co 0.1133 0.1133 0.4099
Co 0.8867 0.8867 0.5901
Au 0.0000 0.0000 0.0000
Br 0.1178 0.1178 0.6601
Br 0.1470 0.7133 0.7937
Br 0.2867 0.8530 0.2063
Br 0.3296 0.3296 0.5096
Br 0.6704 0.6704 0.4904
Br 0.7133 0.1470 0.7937
Br 0.8530 0.2867 0.2063
Br 0.8822 0.8822 0.3399

Principal peaks in the range 10 to 80 degrees two-theta, by angle:
| d (Å) | intensity |
| --- | --- |
| 6.485 | 100 |
| 5.831 | 63 |
| 5.381 | 26 |
| 3.320 | 23 |
| 2.967 | 35 |
| 2.953 | 26 |
| 2.809 | 21 |
| 2.506 | 33 |

[11]
For NaAlSbTe, DFT lattice parameters and positions (PBE) gives the calculated powder diffractogram in this record (Cu Kα (weighted mean of Kα1 and Kα2)).
Lines closer than 0.1° are merged.

Atomic structure:
a b c (Å): 4.4375 3.8175 15.0508
angles (deg): 90.00 90.00 90.00
Fractional coordinates of all 8 atoms:
Na 0.0000 0.0000 0.0000
Na 0.0000 0.5000 0.5000
Al 0.5000 0.0000 0.2145
Al 0.5000 0.5000 0.7145
Sb 0.0000 0.0000 0.3180
Sb 0.0000 0.5000 0.8180
Te 0.5000 0.0000 0.5932
Te 0.5000 0.5000 0.0932

Principal peaks in the range 10 to 80 degrees two-theta, by angle:
| d (Å) | intensity |
| --- | --- |
| 3.822 | 100 |
| 3.763 | 35 |
| 3.700 | 34 |
| 3.038 | 55 |
| 2.842 | 49 |
| 2.507 | 39 |
| 2.184 | 26 |
| 2.086 | 37 |

[12]
For CuSn2As3, DFT lattice parameters and positions (PBE) gives the calculated powder diffractogram in this record (Cu Kα (weighted mean of Kα1 and Kα2)).
Lines closer than 0.1° are merged.

Atomic structure:
a b c (Å): 7.3121 7.3121 7.3233
angles (deg): 99.80 99.80 119.99
Fractional coordinates of all 12 atoms:
Cu 0.0802 0.9198 0.5000
Cu 0.9198 0.0802 0.0000
Sn 0.2520 0.7623 0.0149
Sn 0.4431 0.6068 0.5155
Sn 0.6068 0.4431 0.0155
Sn 0.7623 0.2520 0.5149
As 0.1332 0.6594 0.6240
As 0.2698 0.4360 0.1247
As 0.4360 0.2698 0.6247
As 0.6594 0.1332 0.1240
As 0.8421 0.9779 0.6550
As 0.9779 0.8421 0.1550

Principal peaks in the range 10 to 80 degrees two-theta, by angle:
| d (Å) | intensity |
| --- | --- |
| 3.446 | 100 |
| 2.112 | 60 |
| 2.102 | 12 |
| 1.804 | 15 |
| 1.799 | 15 |
| 1.795 | 14 |
| 1.371 | 9 |
| 1.219 | 8 |

[13]
For Dy4TePb3, DFT lattice parameters and positions (PBE) gives the calculated powder diffractogram in this record (Cu Kα (weighted mean of Kα1 and Kα2)).
Lines closer than 0.1° are merged.

Atomic structure:
a b c (Å): 12.5334 9.3930 4.1594
angles (deg): 90.00 90.22 90.00
Fractional coordinates of all 16 atoms:
Dy 0.0000 0.2475 0.0000
Dy 0.0000 0.7525 0.0000
Dy 0.2495 0.0000 0.5003
Dy 0.2505 0.5000 0.4997
Dy 0.5000 0.2525 0.0000
Dy 0.5000 0.7475 0.0000
Dy 0.7505 0.0000 0.4997
Dy 0.7495 0.5000 0.5003
Te 0.0000 0.0000 0.5000
Te 0.5000 0.5000 0.5000
Pb 0.0000 0.5000 0.5000
Pb 0.2500 0.2500 0.0000
Pb 0.2500 0.7500 0.0000
Pb 0.5000 0.0000 0.5000
Pb 0.7500 0.2500 0.0000
Pb 0.7500 0.7500 0.0000

Principal peaks in the range 10 to 80 degrees two-theta, by angle:
| d (Å) | intensity |
| --- | --- |
| 3.133 | 51 |
| 3.114 | 100 |
| 2.348 | 23 |
| 2.212 | 39 |
| 2.205 | 39 |
| 2.080 | 16 |
| 1.879 | 24 |
| 1.327 | 16 |

[14]
For Ba3Sr3TlGa2, DFT lattice parameters and positions (PBE) gives the calculated powder diffractogram in this record (Cu Kα (weighted mean of Kα1 and Kα2)).
Lines closer than 0.1° are merged.

Atomic structure:
a b c (Å): 8.6997 8.6997 5.6315
angles (deg): 90.00 90.00 120.00
Fractional coordinates of all 9 atoms:
Ba 0.0000 0.4155 0.0000
Ba 0.4155 0.0000 0.0000
Ba 0.5845 0.5845 0.0000
Sr 0.0000 0.7386 0.5000
Sr 0.2614 0.2614 0.5000
Sr 0.7386 0.0000 0.5000
Tl 0.0000 0.0000 0.0000
Ga 0.3333 0.6667 0.5000
Ga 0.6667 0.3333 0.5000

Principal peaks in the range 10 to 80 degrees two-theta, by angle:
| d (Å) | intensity |
| --- | --- |
| 3.443 | 64 |
| 3.131 | 100 |
| 2.848 | 24 |
| 2.816 | 33 |
| 2.541 | 27 |
| 2.511 | 27 |
| 1.679 | 26 |
| 1.652 | 29 |